This entry pairs a crystal structure of CoAg3Pd3O8 with its computed powder diffractogram. Radiation: copper Kα. Structure: the GGA+U geometry in Alexandria.
Peak positions follow from Bragg's law for the DFT cell and can differ from measured ones.

Most intense lines, 2θ from 10° to 90°, by angle:
(hkl)  Position (°2θ)  Rel. int.
1 1 -1  20.24  219
0 0 2  30.29  673
2 2 0  34.58  870
4 0 0  36.77  601
4 0 -2  37.18  340
2 2 -2  41.16  1000
2 2 2  51.63  394
4 0 2  57.83  150
4 0 -4  58.71  171
6 2 -2  60.84  271
6 2 0  64.82  187
2 2 -4  65.83  158

Crystal structure
```
data_CoAg3Pd3O8
_chemical_formula_sum 'Co2 Ag6 Pd6 O16'
_space_group_name_H-M_alt 'C 1 2/m 1'
_space_group_IT_number 12
_cell_length_a 10.674
_cell_length_b 6.120
_cell_length_c 6.443
_cell_angle_alpha 90.00
_cell_angle_beta 113.64
_cell_angle_gamma 90.00
loop_
_space_group_symop_operation_xyz
'x,y,z'
'-x,-y,-z'
'-x,y,-z'
'x,-y,z'
'x+1/2,y+1/2,z'
'-x+1/2,-y+1/2,-z'
'-x+1/2,y+1/2,-z'
'x+1/2,-y+1/2,z'
loop_
_atom_site_label
_atom_site_fract_x
_atom_site_fract_y
_atom_site_fract_z
Co1 0.000 0.000 0.000
Ag1 0.000 0.000 0.500
Ag2 0.250 0.250 0.500
Pd1 0.000 0.500 0.000
Pd2 0.250 0.250 0.000
O1 0.039 0.228 0.828
O2 0.197 0.000 0.189
O3 0.208 0.500 0.186
```